Calculated PXRD pattern
Compound: DyPd
Radiation: a wavelength of 1.5418 Å
Structure: DFT lattice parameters and positions (GGA-PBE)
No peak broadening, texture or thermal motion is included.

Most intense lines, 5° ≤ 2θ ≤ 70°, sorted by position:
2θ/deg	intensity
25.36	4
36.17	100
44.69	1
52.08	18
58.79	2
65.05	36

Cell and atoms:
```
data_DyPd
_chemical_formula_sum 'Dy1 Pd1'
_cell_length_a 3.512
_cell_length_b 3.512
_cell_length_c 3.512
_cell_angle_alpha 90.00
_cell_angle_beta 90.00
_cell_angle_gamma 90.00
_symmetry_space_group_name_H-M 'P m -3 m'
_symmetry_Int_Tables_number 221
_symmetry_space_group_name_Hall '-P 4 2 3'
loop_
_atom_site_label
_atom_site_fract_x
_atom_site_fract_y
_atom_site_fract_z
Dy1 0.000 0.000 0.000
Pd1 0.500 0.500 0.500
```